1.
Calculated X-ray powder pattern
Compound: Mn3NbFe2P6O24
Radiation: Cu Kα (λ = 1.5418 Å)
Structure: a PBE+U-relaxed structure

Peak list (10 most intense, 15 to 90 degrees two-theta, in order of falling intensity)
two_theta, I (rel.)
24.0, 100
20.3, 99
32.7, 77
35.6, 44
46.9, 34
49.1, 29
55.6, 27
62.1, 22
20.6, 17
31.5, 16

```
data_Mn3NbFe2P6O24
_cell_length_a 8.642
_cell_length_b 8.642
_cell_length_c 8.642
_cell_angle_alpha 60.78
_cell_angle_beta 60.78
_cell_angle_gamma 60.78
_symmetry_space_group_name_H-M 'P 1'
_symmetry_Int_Tables_number 1
loop_
_symmetry_equiv_pos_as_xyz
'x,y,z'
loop_
_atom_site_label
_atom_site_fract_x
_atom_site_fract_y
_atom_site_fract_z
_atom_site_occupancy
Mn1 0.000 0.000 0.000 1
Mn2 0.211 0.211 0.211 1
Mn3 0.498 0.498 0.498 1
Nb1 0.712 0.712 0.712 1
Fe1 0.355 0.355 0.355 1
Fe2 0.860 0.860 0.860 1
P1 0.111 0.810 0.394 1
P2 0.305 0.603 0.900 1
P3 0.394 0.111 0.810 1
P4 0.603 0.900 0.305 1
P5 0.810 0.394 0.111 1
P6 0.900 0.305 0.603 1
O1 0.045 0.843 0.242 1
O2 0.093 0.302 0.448 1
O3 0.115 0.766 0.913 1
O4 0.167 0.964 0.366 1
O5 0.242 0.045 0.843 1
O6 0.265 0.613 0.414 1
O7 0.302 0.448 0.093 1
O8 0.343 0.543 0.743 1
O9 0.366 0.167 0.964 1
O10 0.414 0.265 0.613 1
O11 0.448 0.093 0.302 1
O12 0.470 0.672 0.846 1
O13 0.543 0.743 0.343 1
O14 0.593 0.945 0.790 1
O15 0.613 0.414 0.265 1
O16 0.672 0.846 0.470 1
O17 0.743 0.343 0.543 1
O18 0.766 0.913 0.115 1
O19 0.790 0.593 0.945 1
O20 0.843 0.242 0.045 1
O21 0.846 0.470 0.672 1
O22 0.913 0.115 0.766 1
O23 0.945 0.790 0.593 1
O24 0.964 0.366 0.167 1
```

2.
Calculated X-ray powder pattern
Compound: Ba2TbMoO6
Radiation: Cu Kα (λ = 1.5418 Å)
Structure: a PBE+U-relaxed structure

Peak list (10 most intense, 15 to 90 degrees two-theta, in order of falling intensity)
two_theta, I (rel.)
29.6, 100
52.6, 40
42.4, 30
85.1, 22
61.5, 18
69.7, 18
77.5, 6
34.9, 2
18.0, 2
36.5, 2

```
data_Ba2TbMoO6
_cell_length_a 6.032
_cell_length_b 6.032
_cell_length_c 6.032
_cell_angle_alpha 60.00
_cell_angle_beta 60.00
_cell_angle_gamma 60.00
_symmetry_space_group_name_H-M 'P 1'
_symmetry_Int_Tables_number 1
loop_
_symmetry_equiv_pos_as_xyz
'x,y,z'
loop_
_atom_site_label
_atom_site_fract_x
_atom_site_fract_y
_atom_site_fract_z
_atom_site_occupancy
Ba1 0.250 0.250 0.250 1
Ba2 0.750 0.750 0.750 1
Tb1 0.000 0.000 0.000 1
Mo1 0.500 0.500 0.500 1
O1 0.265 0.265 0.735 1
O2 0.265 0.735 0.265 1
O3 0.265 0.735 0.735 1
O4 0.735 0.265 0.265 1
O5 0.735 0.265 0.735 1
O6 0.735 0.735 0.265 1
```